Simulated XRD peak list
Compound: Tm3WO6
Radiation: Cu Kα (weighted mean of Kα1 and Kα2)
Structure: a GGA+U-relaxed structure
Neutral-atom scattering factors, no anomalous dispersion.

The 12 most intense peaks (10° ≤ 2θ ≤ 90°), by angle:
hkl, 2θ/deg, d/Å, intensity
0 0 3, 24.33, 3.659, 38.6
2 0 2, 27.22, 3.276, 39.3
2 1 1, 30.08, 2.971, 100.0
1 1 3, 30.94, 2.891, 41.5
3 0 0, 32.91, 2.722, 21.6
3 -2 2, 33.31, 2.690, 94.2
1 0 4, 34.48, 2.601, 18.8
3 1 2, 43.21, 2.094, 20.7
2 1 4, 44.16, 2.051, 35.8
1 4 0, 51.27, 1.782, 38.8
2 -1 6, 53.74, 1.706, 23.9
4 2 2, 62.52, 1.486, 18.3

Structural model:
Unit cell a=9.4288 b=9.4288 c=10.9769 alpha=90.00 beta=90.00 gamma=120.00
Space group R-3 (No. 148, hexagonal axes)
Unique sites:
1 Tm 0.0405 0.2659 0.2070 x18
2 W 0.0000 0.0000 0.0000 x3
3 W 0.0000 0.0000 0.5000 x3
4 O 0.0254 0.2166 0.4033 x18
5 O 0.0280 0.1865 0.8717 x18